Simulated powder diffractogram
Compound: AcGeSe2
Radiation: Cu Kα
Structure: DFT lattice parameters and positions (GGA-PBE)

The 12 most intense peaks (2θ from 15° to 90°), by angle:
21.48°, I = 47
21.99°, I = 17
25.74°, I = 100
32.01°, I = 16
35.75°, I = 94
37.66°, I = 39
37.97°, I = 24
40.37°, I = 25
46.18°, I = 22
48.49°, I = 17
58.40°, I = 18
61.05°, I = 18

```
AcGeSe2
1.0
4.777 0.000 0.000
-2.389 4.137 0.000
0.000 0.000 18.963
Ac Ge Se
3 3 6
Direct
0.000 0.936 0.333 Ac
0.064 0.064 0.000 Ac
0.936 0.000 0.667 Ac
0.000 0.210 0.833 Ge
0.210 0.000 0.167 Ge
0.790 0.790 0.500 Ge
0.283 0.689 0.751 Se
0.311 0.594 0.418 Se
0.406 0.717 0.085 Se
0.594 0.311 0.582 Se
0.689 0.283 0.249 Se
0.717 0.406 0.915 Se
```

=====

Simulated powder diffractogram
Compound: Ba2CuSi2O7
Radiation: Cu Kα
Structure: DFT lattice parameters and positions (GGA-PBE)

The 12 most intense peaks (2θ from 15° to 90°), by angle:
22.33°, I = 20
23.63°, I = 16
26.95°, I = 42
29.00°, I = 100
33.47°, I = 15
33.67°, I = 25
41.39°, I = 21
44.37°, I = 13
47.67°, I = 15
48.21°, I = 20
48.96°, I = 16
57.12°, I = 13

```
Ba2CuSi2O7
1.0
8.417 0.000 0.000
0.000 8.417 0.000
0.000 0.000 5.354
Ba Cu Si O
4 2 4 14
Direct
0.167 0.333 0.491 Ba
0.333 0.833 0.509 Ba
0.667 0.167 0.509 Ba
0.833 0.667 0.491 Ba
0.000 0.000 0.000 Cu
0.500 0.500 0.000 Cu
0.134 0.634 0.976 Si
0.366 0.134 0.024 Si
0.634 0.866 0.024 Si
0.866 0.366 0.976 Si
0.000 0.500 0.870 O
0.079 0.802 0.844 O
0.134 0.634 0.278 O
0.198 0.079 0.156 O
0.302 0.579 0.844 O
0.366 0.134 0.722 O
0.421 0.302 0.156 O
0.500 0.000 0.130 O
0.579 0.698 0.156 O
0.634 0.866 0.722 O
0.698 0.421 0.844 O
0.802 0.921 0.156 O
0.866 0.366 0.278 O
0.921 0.198 0.844 O
```

=====

Simulated powder diffractogram
Compound: Pm4NiAu
Radiation: Cu Kα
Structure: DFT lattice parameters and positions (GGA-PBE)

The 12 most intense peaks (2θ from 15° to 90°), by angle:
21.83°, I = 34
24.94°, I = 9
25.41°, I = 18
28.37°, I = 9
35.91°, I = 100
36.25°, I = 50
42.71°, I = 12
51.18°, I = 8
52.20°, I = 18
64.25°, I = 9
64.96°, I = 27
65.05°, I = 9

```
Pm4NiAu
1.0
7.009 0.000 0.000
0.000 7.009 0.000
-0.019 0.000 7.140
Pm Ni Au
8 2 2
Direct
0.249 0.250 0.235 Pm
0.249 0.750 0.235 Pm
0.251 0.250 0.765 Pm
0.251 0.750 0.765 Pm
0.749 0.250 0.235 Pm
0.749 0.750 0.235 Pm
0.751 0.250 0.765 Pm
0.751 0.750 0.765 Pm
0.000 0.000 0.000 Ni
0.500 0.500 0.000 Ni
0.000 0.500 0.500 Au
0.500 0.000 0.500 Au
```

=====

Simulated powder diffractogram
Compound: TbSm8Y4
Radiation: Cu Kα
Structure: DFT lattice parameters and positions (GGA-PBE)

The 12 most intense peaks (2θ from 15° to 90°), by angle:
16.96°, I = 13
25.18°, I = 15
28.39°, I = 14
30.00°, I = 39
31.18°, I = 40
33.26°, I = 100
34.30°, I = 10
49.91°, I = 13
56.81°, I = 20
58.03°, I = 11
58.74°, I = 10
60.02°, I = 15

```
TbSm8Y4
1.0
3.758 -5.737 0.000
3.758 5.737 0.000
0.000 0.000 10.457
Tb Sm Y
1 8 4
Direct
0.000 0.000 0.000 Tb
0.238 0.762 0.305 Sm
0.238 0.762 0.695 Sm
0.283 0.283 0.210 Sm
0.283 0.283 0.790 Sm
0.717 0.717 0.210 Sm
0.717 0.717 0.790 Sm
0.762 0.238 0.305 Sm
0.762 0.238 0.695 Sm
0.000 0.000 0.500 Y
0.000 0.500 0.000 Y
0.500 0.000 0.000 Y
0.500 0.500 0.500 Y
```

=====

Simulated powder diffractogram
Compound: Nd2Sn2Pd
Radiation: Cu Kα
Structure: DFT lattice parameters and positions (GGA-PBE)

The 12 most intense peaks (2θ from 15° to 90°), by angle:
30.15°, I = 57
30.62°, I = 49
30.80°, I = 100
31.64°, I = 45
33.91°, I = 61
35.92°, I = 33
37.24°, I = 100
37.38°, I = 24
38.58°, I = 72
50.73°, I = 26
60.58°, I = 31
68.90°, I = 26

```
Nd2Sn2Pd
1.0
5.663 -2.333 0.000
5.663 2.333 0.000
-5.118 0.000 10.001
Nd Sn Pd
4 4 2
Direct
0.007 0.007 0.332 Nd
0.183 0.183 0.112 Nd
0.817 0.817 0.888 Nd
0.993 0.993 0.668 Nd
0.349 0.349 0.438 Sn
0.472 0.472 0.119 Sn
0.528 0.528 0.881 Sn
0.651 0.651 0.562 Sn
0.282 0.282 0.658 Pd
0.718 0.718 0.342 Pd
```

=====

Simulated powder diffractogram
Compound: Sr4GaAg3
Radiation: Cu Kα
Structure: DFT lattice parameters and positions (GGA-PBE)

The 12 most intense peaks (2θ from 15° to 90°), by angle:
28.44°, I = 100
29.69°, I = 16
30.11°, I = 42
35.18°, I = 43
35.54°, I = 86
37.38°, I = 36
40.93°, I = 27
48.73°, I = 21
55.05°, I = 23
56.63°, I = 21
57.54°, I = 19
70.65°, I = 20

```
Sr4GaAg3
1.0
4.410 0.000 0.000
0.000 4.811 0.000
0.000 0.000 12.035
Sr Ga Ag
4 1 3
Direct
0.000 0.000 0.000 Sr
0.000 0.500 0.281 Sr
0.500 0.000 0.497 Sr
0.500 0.500 0.781 Sr
0.500 0.000 0.207 Ga
0.000 0.000 0.711 Ag
0.000 0.500 0.570 Ag
0.500 0.500 0.078 Ag
```